No. 1
Ho5Tm2Th3: calculated powder diffraction line list (Cu Kα (weighted mean of Kα1 and Kα2)), based on a structure optimized by DFT (GGA-PBE).

Atomic structure:
abc: 6.099 6.099 11.217
angles: 90.63 90.63 48.55
Sites, in units of the cell vectors:
1 Ho 0.000 0.000 0.000
2 Ho 0.200 0.200 0.601
3 Ho 0.300 0.300 0.900
4 Ho 0.700 0.700 0.100
5 Ho 0.800 0.800 0.399
6 Tm 0.402 0.402 0.201
7 Tm 0.598 0.598 0.799
8 Th 0.099 0.099 0.299
9 Th 0.500 0.500 0.500
10 Th 0.901 0.901 0.701

Principal peaks in the range 2θ = 5–70°, sorted by position:
d = 2.887 Å, rel. 1000
d = 2.516 Å, rel. 172
d = 2.508 Å, rel. 171
d = 2.479 Å, rel. 165
d = 1.515 Å, rel. 147
d = 1.511 Å, rel. 146
d = 1.498 Å, rel. 142
d = 1.444 Å, rel. 125

---

No. 2
Zn2In5Ag12: calculated powder diffraction line list (Cu Kα (weighted mean of Kα1 and Kα2)), based on a structure optimized by DFT (GGA-PBE).

Atomic structure:
abc: 8.971 8.971 9.011
angles: 105.49 105.49 35.89
Sites, in units of the cell vectors:
1 Zn 0.242 0.758 0.000
2 Zn 0.758 0.242 0.000
3 In 0.000 0.000 0.500
4 In 0.296 0.296 0.610
5 In 0.383 0.383 0.122
6 In 0.617 0.617 0.878
7 In 0.704 0.704 0.390
8 Ag 0.027 0.539 0.872
9 Ag 0.096 0.096 0.263
10 Ag 0.107 0.605 0.389
11 Ag 0.395 0.893 0.611
12 Ag 0.461 0.973 0.128
13 Ag 0.472 0.472 0.650
14 Ag 0.528 0.528 0.350
15 Ag 0.539 0.027 0.872
16 Ag 0.605 0.107 0.389
17 Ag 0.893 0.395 0.611
18 Ag 0.904 0.904 0.737
19 Ag 0.973 0.461 0.128

Principal peaks in the range 2θ = 5–70°, sorted by position:
d = 2.628 Å, rel. 256
d = 2.508 Å, rel. 304
d = 2.416 Å, rel. 341
d = 2.336 Å, rel. 1000
d = 2.306 Å, rel. 278
d = 2.231 Å, rel. 247
d = 2.156 Å, rel. 214
d = 2.134 Å, rel. 481

---

No. 3
Na10B19C: calculated powder diffraction line list (Cu Kα (weighted mean of Kα1 and Kα2)), based on a structure optimized by DFT (GGA-PBE).

Atomic structure:
abc: 8.650 13.230 13.230
angles: 13.00 90.00 90.00
Sites, in units of the cell vectors:
1 Na 0.247 0.000 0.000
2 Na 0.249 0.600 0.600
3 Na 0.251 0.199 0.199
4 Na 0.251 0.400 0.400
5 Na 0.251 0.800 0.800
6 Na 0.749 0.199 0.199
7 Na 0.749 0.400 0.400
8 Na 0.749 0.800 0.800
9 Na 0.751 0.600 0.600
10 Na 0.753 0.000 0.000
11 B 0.000 0.066 0.066
12 B 0.000 0.134 0.134
13 B 0.000 0.266 0.266
14 B 0.000 0.334 0.334
15 B 0.000 0.466 0.466
16 B 0.000 0.534 0.534
17 B 0.000 0.666 0.666
18 B 0.000 0.734 0.734
19 B 0.000 0.866 0.866
20 B 0.000 0.934 0.934
21 B 0.500 0.063 0.063
22 B 0.500 0.131 0.131
23 B 0.500 0.264 0.264
24 B 0.500 0.332 0.332
25 B 0.500 0.474 0.474
26 B 0.500 0.665 0.665
27 B 0.500 0.735 0.735
28 B 0.500 0.869 0.869
29 B 0.500 0.934 0.934
30 C 0.500 0.533 0.533

Principal peaks in the range 2θ = 5–70°, sorted by position:
d = 2.629 Å, rel. 103
d = 2.602 Å, rel. 209
d = 2.246 Å, rel. 522
d = 2.230 Å, rel. 1000
d = 2.163 Å, rel. 348
d = 1.663 Å, rel. 110
d = 1.513 Å, rel. 185
d = 1.497 Å, rel. 90

---

No. 4
Cs2ErCuCl6: calculated powder diffraction line list (Cu Kα (weighted mean of Kα1 and Kα2)), based on a structure optimized by DFT (GGA-PBE).

Atomic structure:
abc: 7.457 7.457 7.457
angles: 114.92 114.92 99.05
Sites, in units of the cell vectors:
1 Cs 0.250 0.750 0.500
2 Cs 0.750 0.250 0.500
3 Er 0.000 0.000 0.000
4 Cu 0.500 0.500 0.000
5 Cl 0.230 0.230 0.459
6 Cl 0.230 0.770 0.000
7 Cl 0.274 0.274 0.000
8 Cl 0.726 0.726 0.000
9 Cl 0.770 0.230 0.000
10 Cl 0.770 0.770 0.541

Principal peaks in the range 2θ = 5–70°, sorted by position:
d = 4.011 Å, rel. 612
d = 3.682 Å, rel. 1000
d = 3.089 Å, rel. 201
d = 2.836 Å, rel. 694
d = 2.420 Å, rel. 216
d = 2.247 Å, rel. 514
d = 2.006 Å, rel. 237
d = 1.841 Å, rel. 355

---

What is the formula in the second record?
Zn2In5Ag12